ReNiC: theoretical XRD peak list (λ = 1.5418 Å (Cu Kα)), based on the GGA-PBE geometry in Alexandria.
Intensities are scaled so that the largest is 1000.

Top 10 peaks for 10° ≤ 2θ ≤ 90°, low angle first:
| 2theta | intensity | (hkl) |
| --- | --- | --- |
| 17.91 | 774 | 1 0 0 |
| 35.26 | 327 | 1 0 -2 |
| 36.31 | 491 | 2 0 0 |
| 39.63 | 531 | 0 2 0 |
| 40.62 | 609 | 1 1 -2 |
| 40.97 | 1000 | 1 1 2 |
| 41.52 | 739 | 2 1 0 |
| 43.80 | 161 | 1 2 0 |
| 54.07 | 228 | 1 2 -2 |
| 72.81 | 169 | 1 3 2 |

Cell and atoms:
a b c (Å): 4.9539 4.5486 5.8903
angles (deg): 90.00 90.72 90.00
Positions (direct):
Re (0.0772, 0.2307, 0.0988)
Re (0.0772, 0.2693, 0.5988)
Re (0.9228, 0.7307, 0.4012)
Re (0.9228, 0.7693, 0.9012)
Ni (0.4167, 0.7324, 0.1238)
Ni (0.4167, 0.7676, 0.6238)
Ni (0.5833, 0.2324, 0.3762)
Ni (0.5833, 0.2676, 0.8762)
C (0.2575, 0.5024, 0.8623)
C (0.2575, 0.9976, 0.3623)
C (0.7425, 0.0024, 0.6377)
C (0.7425, 0.4976, 0.1377)